Tl3Ag3PbCl8: calculated X-ray diffraction stick pattern (Cu Kα X-rays), based on the GGA-PBE geometry in Alexandria.
Kinematic intensities with the Lorentz-polarization factor, no thermal factor.

Most intense lines, 15 to 90 degrees two-theta, sorted by position:
2theta  I (rel.)
24.24  32
24.60  14
26.08  74
29.52  51
29.76  100
41.30  57
43.52  35
43.82  17
53.72  19
68.33  15

Crystal structure
abc: 8.318 8.318 8.760
angles: 118.23 118.23 59.57
Element x y z (fractional)
Tl1 0.000 0.000 0.000
Tl2 0.000 0.500 0.000
Tl3 0.500 0.000 0.000
Ag1 0.000 0.500 0.500
Ag2 0.500 0.000 0.500
Ag3 0.500 0.500 0.500
Pb1 0.000 0.000 0.500
Cl1 0.241 0.241 0.711
Cl2 0.245 0.729 0.714
Cl3 0.263 0.263 0.295
Cl4 0.271 0.755 0.286
Cl5 0.729 0.245 0.714
Cl6 0.737 0.737 0.705
Cl7 0.755 0.271 0.286
Cl8 0.759 0.759 0.289